[1]
This entry pairs a crystal structure of Pr5HgGe2 with its computed X-ray powder pattern. Radiation: CuKα. Structure: the GGA-PBE geometry in Alexandria.

Top 10 peaks for 10° ≤ 2θ ≤ 90°, low angle first:
2θ/deg  I (rel.)  h k l
25.69  167  2 1 1
28.81  384  1 1 4
30.91  1000  2 1 3
31.73  269  2 2 0
32.98  718  2 0 4
35.60  706  3 1 0
50.67  186  4 1 3
54.74  265  3 3 4
62.12  214  3 1 8
64.67  170  5 1 4

Cell and atoms:
```
data_Pr5HgGe2
_chemical_formula_sum 'Pr20 Hg4 Ge8'
_cell_length_a 7.976
_cell_length_b 7.976
_cell_length_c 14.837
_cell_angle_alpha 90.00
_cell_angle_beta 90.00
_cell_angle_gamma 90.00
_space_group_name_H-M_alt 'I 4/m c m'
_space_group_IT_number 140
_space_group_name_Hall '-I 4 2c'
loop_
_atom_site_label
_atom_site_type_symbol
_atom_site_fract_x
_atom_site_fract_y
_atom_site_fract_z
Pr1 Pr 0.000 0.000 0.000
Pr2 Pr 0.171 0.329 0.142
Hg1 Hg 0.000 0.000 0.250
Ge1 Ge 0.126 0.374 0.500
```

=====

[2]
This entry pairs a crystal structure of Pr2Hg3Ge with its computed X-ray powder pattern. Radiation: CuKα. Structure: the GGA-PBE geometry in Alexandria.

Top 10 peaks for 10° ≤ 2θ ≤ 90°, low angle first:
2θ/deg  I (rel.)  h k l
23.47  139  2 0 0
31.80  1000  2 2 2
37.06  791  0 2 6
44.33  162  2 2 6
48.01  128  4 0 0
49.61  289  2 0 8
62.16  354  4 2 6
63.52  275  2 4 8
66.79  142  0 0 12
86.38  145  4 0 12

Cell and atoms:
```
data_Pr2Hg3Ge
_chemical_formula_sum 'Pr16 Hg24 Ge8'
_cell_length_a 7.581
_cell_length_b 9.697
_cell_length_c 16.818
_cell_angle_alpha 90.00
_cell_angle_beta 90.00
_cell_angle_gamma 90.00
_space_group_name_H-M_alt 'F m m m'
_space_group_IT_number 69
_space_group_name_Hall '-F 2 2'
loop_
_atom_site_label
_atom_site_type_symbol
_atom_site_fract_x
_atom_site_fract_y
_atom_site_fract_z
Pr1 Pr 0.243 0.000 0.000
Pr2 Pr 0.250 0.250 0.250
Hg1 Hg 0.000 0.000 0.169
Hg2 Hg 0.000 0.244 0.416
Ge1 Ge 0.000 0.000 0.334
```